No. 1
Simulated powder X-ray diffraction pattern
Compound: Cd7Bi
Radiation: Cu Kα
Structure: a PBE-relaxed structure

Top 12 peaks for 10 to 80 degrees two-theta, by angle:
32.29 deg, I 100, hkl 0 2 1; 35.29 deg, I 79, hkl 4 2 0; 39.05 deg, I 30, hkl 4 0 -1; 39.28 deg, I 29, hkl 4 0 1; 39.42 deg, I 28, hkl 0 4 0; 52.48 deg, I 12, hkl 0 0 2; 56.70 deg, I 18, hkl 4 4 -1; 56.87 deg, I 18, hkl 4 4 1; 64.67 deg, I 13, hkl 4 2 -2; 64.99 deg, I 13, hkl 4 2 2; 67.02 deg, I 10, hkl 0 6 1; 67.57 deg, I 11, hkl 0 4 2

Structure:
```
data_Cd7Bi
_cell_length_a 12.2414
_cell_length_b 9.1426
_cell_length_c 3.4876
_cell_angle_alpha 90.00
_cell_angle_beta 90.32
_cell_angle_gamma 90.00
_space_group_name_H-M_alt 'C 1 2/m 1'
_space_group_IT_number 12
_space_group_name_Hall '-C 2y'
loop_
_atom_site_label
_atom_site_fract_x
_atom_site_fract_y
_atom_site_fract_z
Cd1 0.0000 0.0000 0.0000
Cd2 0.1269 0.2360 0.4995
Cd3 0.2451 0.0000 0.0017
Bi1 0.0000 0.5000 0.0000
```

No. 2
Simulated powder X-ray diffraction pattern
Compound: Cd2Bi
Radiation: Cu Kα
Structure: a PBE-relaxed structure

Top 12 peaks for 10 to 80 degrees two-theta, by angle:
21.72 deg, I 17, hkl 1 1 0; 22.09 deg, I 69, hkl 1 0 1; 28.44 deg, I 100, hkl 1 1 1; 31.17 deg, I 38, hkl 2 0 1; 38.08 deg, I 92, hkl 3 0 0; 38.31 deg, I 41, hkl 2 1 1; 43.10 deg, I 72, hkl 2 -1 2; 48.21 deg, I 22, hkl 4 -2 1; 50.00 deg, I 16, hkl 4 -1 1; 58.85 deg, I 28, hkl 2 2 2; 63.03 deg, I 18, hkl 4 1 1; 72.28 deg, I 30, hkl 5 -1 2

Structure:
```
data_Cd2Bi
_cell_length_a 8.1852
_cell_length_b 8.1852
_cell_length_c 4.8890
_cell_angle_alpha 90.00
_cell_angle_beta 90.00
_cell_angle_gamma 120.00
_space_group_name_H-M_alt 'P -3 1 m'
_space_group_IT_number 162
_space_group_name_Hall '-P 3 2'
loop_
_atom_site_label
_atom_site_fract_x
_atom_site_fract_y
_atom_site_fract_z
Cd1 0.0000 0.3508 0.1900
Bi1 0.0000 0.0000 0.0000
Bi2 0.3333 0.6667 0.5000
```